1.
Tl3Ni3RhO8: simulated powder XRD pattern (Cu Kα, 1.54184 Å), based on a DFT-relaxed cell (GGA+U, Alexandria).

Structural model:
a b c (Å): 6.853 6.853 6.853
angles (deg): 54.43 54.43 54.43
Fractional coordinates of all 15 atoms:
Tl (0.000, 0.500, 0.500)
Tl (0.500, 0.000, 0.500)
Tl (0.500, 0.500, 0.000)
Ni (0.000, 0.000, 0.500)
Ni (0.000, 0.500, 0.000)
Ni (0.500, 0.000, 0.000)
Rh (0.500, 0.500, 0.500)
O (0.222, 0.222, 0.222)
O (0.253, 0.719, 0.719)
O (0.281, 0.281, 0.747)
O (0.281, 0.747, 0.281)
O (0.719, 0.253, 0.719)
O (0.719, 0.719, 0.253)
O (0.747, 0.281, 0.281)
O (0.778, 0.778, 0.778)

Top 10 peaks for 2θ from 10° to 80°, in order of falling intensity:
39.1°, 2.305 Å, I 1000; 34.6°, 2.592 Å, I 820; 17.1°, 5.184 Å, I 475; 30.7°, 2.910 Å, I 408; 53.9°, 1.701 Å, I 348; 58.9°, 1.567 Å, I 296; 67.9°, 1.380 Å, I 267; 32.4°, 2.759 Å, I 195; 63.3°, 1.468 Å, I 183; 15.2°, 5.820 Å, I 165

2.
UNi2RhO6: simulated powder XRD pattern (Cu Kα, 1.54184 Å), based on a DFT-relaxed cell (GGA+U, Alexandria).

Structural model:
a b c (Å): 5.337 5.512 9.383
angles (deg): 90.00 123.61 90.00
Fractional coordinates of all 20 atoms:
U (0.000, 0.000, 0.000)
U (0.000, 0.500, 0.500)
Ni (0.233, 0.034, 0.720)
Ni (0.233, 0.466, 0.220)
Ni (0.767, 0.534, 0.780)
Ni (0.767, 0.966, 0.280)
Rh (0.500, 0.000, 0.500)
Rh (0.500, 0.500, 0.000)
O (0.121, 0.165, 0.451)
O (0.121, 0.335, 0.951)
O (0.242, 0.681, 0.408)
O (0.242, 0.819, 0.908)
O (0.405, 0.107, 0.264)
O (0.405, 0.393, 0.764)
O (0.595, 0.607, 0.236)
O (0.595, 0.893, 0.736)
O (0.758, 0.181, 0.092)
O (0.758, 0.319, 0.592)
O (0.879, 0.665, 0.049)
O (0.879, 0.835, 0.549)

Top 10 peaks for 2θ from 10° to 80°, in order of falling intensity:
32.5°, 2.755 Å, I 1000; 32.9°, 2.719 Å, I 599; 23.2°, 3.834 Å, I 349; 33.6°, 2.668 Å, I 292; 47.4°, 1.917 Å, I 272; 59.1°, 1.563 Å, I 215; 22.8°, 3.907 Å, I 206; 58.0°, 1.591 Å, I 202; 58.2°, 1.584 Å, I 142; 59.9°, 1.543 Å, I 136